For Ba2Ti2F11, a PBE-relaxed structure gives the theoretical X-ray diffraction stick pattern in this record (Cu Ka).
No peak broadening, texture or thermal motion is included.

Most intense lines, 10 to 90 degrees two-theta, low angle first:
Position (°2θ), I/Imax, hkl
18.36, 37.7, 1 0 2
23.21, 55.7, 0 1 3
24.03, 100.0, 2 -1 1
26.45, 25.7, 1 1 2
27.57, 30.2, 0 2 1
28.72, 42.6, 0 1 4
38.03, 32.6, 2 1 2
40.76, 66.5, 3 -1 3

Structural model:
a b c (Å): 7.6764 7.6764 14.0667
angles (deg): 90.00 90.00 120.00
Space group P3_2 (No. 145)
One atom of each set of equivalent atoms:
Ba (0.1383, 0.4263, 0.0000)
Ba (0.5265, 0.1565, 0.8527)
Ti (0.0186, 0.5905, 0.7583)
Ti (0.2007, 0.0487, 0.5865)
F (0.0186, 0.4025, 0.1893)
F (0.0557, 0.7632, 0.6201)
F (0.0868, 0.0497, 0.9242)
F (0.1341, 0.4953, 0.6657)
F (0.1859, 0.1284, 0.4486)
F (0.2400, 0.5267, 0.4712)
F (0.2853, 0.1239, 0.7089)
F (0.3789, 0.0329, 0.1538)
F (0.4041, 0.3377, 0.5675)
F (0.4204, 0.3720, 0.0313)
F (0.5442, 0.2903, 0.3711)

---

For BaTiZnF7, a PBE-relaxed structure gives the theoretical X-ray diffraction stick pattern in this record (Cu Ka).
No peak broadening, texture or thermal motion is included.

Most intense lines, 10 to 90 degrees two-theta, low angle first:
Position (°2θ), I/Imax, hkl
25.03, 100.0, 1 2 -1
25.17, 65.2, 1 1 -2
25.55, 50.0, 0 2 2
26.24, 93.3, 1 1 2
29.08, 39.2, 0 1 3
31.33, 37.1, 2 0 0
40.11, 46.1, 2 2 -2
40.39, 60.9, 1 4 1

Structural model:
a b c (Å): 5.716 10.081 9.682
angles (deg): 90.00 92.70 90.00
Space group P2_1/c (No. 14)
One atom of each set of equivalent atoms:
Ba (0.235, 0.185, 0.001)
Ti (0.304, 0.611, 0.189)
Zn (0.196, 0.601, 0.810)
F (0.016, 0.710, 0.248)
F (0.110, 0.541, 0.622)
F (0.133, 0.055, 0.627)
F (0.242, 0.694, 0.005)
F (0.382, 0.056, 0.380)
F (0.392, 0.542, 0.367)
F (0.477, 0.719, 0.750)

---

For Ba2TlF7, a PBE-relaxed structure gives the theoretical X-ray diffraction stick pattern in this record (Cu Ka).
No peak broadening, texture or thermal motion is included.

Most intense lines, 10 to 90 degrees two-theta, low angle first:
Position (°2θ), I/Imax, hkl
24.16, 62.9, 1 0 -2
24.51, 40.6, 1 0 2
25.13, 26.7, 1 1 -2
25.33, 100.0, 1 3 0
25.47, 45.9, 1 1 2
28.36, 37.7, 0 3 2
29.54, 44.0, 2 0 0
39.87, 37.4, 0 1 4

Structural model:
a b c (Å): 6.049 12.965 9.186
angles (deg): 90.00 90.85 90.00
Space group P2_1/c (No. 14)
One atom of each set of equivalent atoms:
Ba (0.227, 0.062, 0.163)
Ba (0.245, 0.719, 0.057)
Tl (0.294, 0.127, 0.686)
F (0.014, 0.236, 0.702)
F (0.072, 0.603, 0.537)
F (0.146, 0.528, 0.186)
F (0.237, 0.164, 0.455)
F (0.378, 0.565, 0.877)
F (0.439, 0.099, 0.903)
F (0.493, 0.726, 0.308)

---

For BaTm2F8, a PBE-relaxed structure gives the theoretical X-ray diffraction stick pattern in this record (Cu Ka).
No peak broadening, texture or thermal motion is included.

Most intense lines, 10 to 90 degrees two-theta, low angle first:
Position (°2θ), I/Imax, hkl
21.06, 34.3, 0 0 1
24.48, 60.8, 1 1 -1
25.91, 80.2, 2 0 0
27.11, 65.5, 0 2 1
27.80, 39.5, 1 1 1
28.61, 100.0, 1 3 0
42.87, 27.0, 0 0 2
47.40, 44.1, 3 3 0

Structural model:
a b c (Å): 6.962 10.505 4.272
angles (deg): 90.00 98.97 90.00
Space group C2/m (No. 12)
One atom of each set of equivalent atoms:
Ba (0.000, 0.000, 0.000)
Tm (0.000, 0.324, 0.500)
F (0.000, 0.263, 0.000)
F (0.105, 0.500, 0.770)
F (0.187, 0.142, 0.560)

---

For BaY3F11, a PBE-relaxed structure gives the theoretical X-ray diffraction stick pattern in this record (Cu Ka).
No peak broadening, texture or thermal motion is included.

Most intense lines, 10 to 90 degrees two-theta, low angle first:
Position (°2θ), I/Imax, hkl
18.74, 49.2, 0 1 5
19.07, 100.0, 1 1 2
20.22, 82.3, 1 1 3
21.23, 49.9, 0 1 6
27.94, 32.5, 1 0 8
28.47, 23.0, 2 0 0
45.25, 25.8, 2 3 1
46.62, 47.1, 1 3 9

Structural model:
a b c (Å): 6.270 7.855 29.681
angles (deg): 90.00 90.00 90.00
Space group P2_12_12_1 (No. 19)
One atom of each set of equivalent atoms:
Ba (0.230, 0.094, 0.290)
Y (0.235, 0.059, 0.647)
Y (0.241, 0.410, 0.531)
Y (0.241, 0.750, 0.414)
F (0.001, 0.242, 0.500)
F (0.015, 0.570, 0.382)
F (0.018, 0.416, 0.061)
F (0.021, 0.067, 0.941)
F (0.021, 0.894, 0.609)
F (0.045, 0.691, 0.827)
F (0.091, 0.767, 0.193)
F (0.229, 0.891, 0.706)
F (0.237, 0.579, 0.473)
F (0.241, 0.870, 0.348)
F (0.246, 0.754, 0.091)

---

For BaY3F11, a PBE-relaxed structure gives the theoretical X-ray diffraction stick pattern in this record (Cu Ka).
No peak broadening, texture or thermal motion is included.

Most intense lines, 10 to 90 degrees two-theta, low angle first:
Position (°2θ), I/Imax, hkl
23.69, 46.2, 0 0 2
24.05, 100.0, 0 2 0
26.33, 35.3, 0 1 -2
27.97, 44.6, 2 0 0
28.33, 32.9, 2 2 0
28.71, 41.5, 2 0 2
29.57, 45.8, 2 2 2
44.09, 31.2, 2 1 4

Structural model:
a b c (Å): 7.738 8.254 8.287
angles (deg): 80.49 65.08 63.75
Space group P-1 (No. 2)
One atom of each set of equivalent atoms:
Ba (0.189, 0.253, 0.337)
Y (0.229, 0.249, 0.790)
Y (0.271, 0.766, 0.713)
Y (0.307, 0.750, 0.160)
F (0.049, 0.623, 0.312)
F (0.066, 0.040, 0.233)
F (0.073, 0.777, 0.022)
F (0.144, 0.550, 0.773)
F (0.218, 0.734, 0.468)
F (0.263, 0.041, 0.621)
F (0.316, 0.309, 0.993)
F (0.357, 0.895, 0.890)
F (0.404, 0.303, 0.499)
F (0.431, 0.901, 0.258)
F (0.497, 0.547, 0.831)

---

For Ba2Y5F19, a PBE-relaxed structure gives the theoretical X-ray diffraction stick pattern in this record (Cu Ka).
No peak broadening, texture or thermal motion is included.

Most intense lines, 10 to 90 degrees two-theta, low angle first:
Position (°2θ), I/Imax, hkl
18.56, 70.0, 1 0 4
18.86, 68.1, 1 1 -2
19.45, 55.6, 1 0 -5
19.68, 100.0, 1 1 2
20.16, 42.6, 1 1 -3
21.36, 48.1, 1 0 5
27.78, 57.4, 0 1 7
28.24, 43.9, 0 2 0

Structural model:
a b c (Å): 7.889 6.318 26.221
angles (deg): 90.00 95.84 90.00
Space group P2_1 (No. 4)
One atom of each set of equivalent atoms:
Ba (0.234, 0.000, 0.171)
Ba (0.236, 0.968, 0.738)
Y (0.139, 0.974, 0.333)
Y (0.159, 0.492, 0.970)
Y (0.170, 0.479, 0.536)
Y (0.442, 0.997, 0.901)
Y (0.469, 0.479, 0.403)
F (0.005, 0.735, 0.501)
F (0.010, 0.211, 0.703)
F (0.011, 0.758, 0.998)
F (0.013, 0.491, 0.895)
F (0.033, 0.486, 0.605)
F (0.041, 0.666, 0.719)
F (0.252, 0.004, 0.834)
F (0.283, 0.244, 0.369)
F (0.291, 0.968, 0.267)
F (0.292, 0.213, 0.943)
F (0.306, 0.746, 0.376)
F (0.322, 0.477, 0.470)
F (0.324, 0.722, 0.935)
F (0.340, 0.220, 0.567)
F (0.347, 0.484, 0.037)
F (0.350, 0.724, 0.569)
F (0.406, 0.311, 0.150)
F (0.434, 0.769, 0.131)
F (0.435, 0.983, 0.671)